Record 1
Diffraction record for ErAl4InIr. The PXRD pattern is simulated, not measured: it uses a GGA-PBE-relaxed structure and Cu Ka.
Kinematic intensities with the Lorentz-polarization factor, no thermal factor.

Largest 6 diffraction maxima, by intensity, 2θ from 5° to 70°:
- d 2.311, rel. 100.0
- d 4.357, rel. 47.7
- d 3.081, rel. 47.4
- d 2.179, rel. 46.5
- d 3.493, rel. 38.0
- d 2.725, rel. 29.4

Structural model:
a b c (Å): 4.3574 4.3574 6.9851
angles (deg): 90.00 90.00 90.00
Fractional positions:
Er: 0.0000 0.0000 0.0000
Al: 0.0000 0.5000 0.3094
Al: 0.0000 0.5000 0.6906
Al: 0.5000 0.0000 0.3094
Al: 0.5000 0.0000 0.6906
In: 0.5000 0.5000 0.0000
Ir: 0.0000 0.0000 0.5000


Record 2
Diffraction record for LaErAlIr2. The PXRD pattern is simulated, not measured: it uses a GGA-PBE-relaxed structure and Cu Ka.
Kinematic intensities with the Lorentz-polarization factor, no thermal factor.

Largest 6 diffraction maxima, by intensity, 2θ from 5° to 70°:
- d 2.310, rel. 100.0
- d 2.433, rel. 80.9
- d 2.382, rel. 78.6
- d 2.676, rel. 49.1
- d 3.750, rel. 46.4
- d 1.580, rel. 43.4

Structural model:
a b c (Å): 5.6506 5.6506 5.6506
angles (deg): 136.88 117.48 78.97
Fractional positions:
La: 0.0000 0.0000 0.0000
Er: 0.6027 0.6027 0.0000
Al: 0.3015 0.8015 0.5000
Ir: 0.0433 0.3002 0.7431
Ir: 0.5571 0.3002 0.2569


Record 3
Diffraction record for Er2Al2Ir3Pd. The PXRD pattern is simulated, not measured: it uses a GGA-PBE-relaxed structure and Cu Ka.
Kinematic intensities with the Lorentz-polarization factor, no thermal factor.

Largest 6 diffraction maxima, by intensity, 2θ from 5° to 70°:
- d 2.354, rel. 100.0
- d 2.143, rel. 56.5
- d 3.711, rel. 45.1
- d 1.585, rel. 29.7
- d 1.409, rel. 8.0
- d 1.856, rel. 6.8

Structural model:
a b c (Å): 4.2856 4.2856 9.1366
angles (deg): 90.00 90.00 120.00
Fractional positions:
Er: 0.0000 0.0000 0.0000
Er: 0.3333 0.6667 0.5060
Al: 0.6667 0.3333 0.2370
Al: 0.6667 0.3333 0.7494
Ir: 0.0000 0.0000 0.6711
Ir: 0.3333 0.6667 0.1629
Ir: 0.3333 0.6667 0.8399
Pd: 0.0000 0.0000 0.3381


Record 4
Diffraction record for Er3Mg3AlTl2. The PXRD pattern is simulated, not measured: it uses a GGA-PBE-relaxed structure and Cu Ka.
Kinematic intensities with the Lorentz-polarization factor, no thermal factor.

Largest 6 diffraction maxima, by intensity, 2θ from 5° to 70°:
- d 2.892, rel. 100.0
- d 2.639, rel. 77.4
- d 6.449, rel. 62.3
- d 2.151, rel. 27.5
- d 2.437, rel. 24.8
- d 3.723, rel. 22.4

Structural model:
a b c (Å): 7.4463 7.4463 4.5935
angles (deg): 90.00 90.00 120.00
Fractional positions:
Er: 0.0000 0.5704 0.0000
Er: 0.4296 0.4296 0.0000
Er: 0.5704 0.0000 0.0000
Mg: 0.0000 0.2363 0.5000
Mg: 0.2363 0.0000 0.5000
Mg: 0.7637 0.7637 0.5000
Al: 0.0000 0.0000 0.0000
Tl: 0.3333 0.6667 0.5000
Tl: 0.6667 0.3333 0.5000


Record 5
Diffraction record for ErAl9Ni3. The PXRD pattern is simulated, not measured: it uses a GGA-PBE-relaxed structure and Cu Ka.
Kinematic intensities with the Lorentz-polarization factor, no thermal factor.

Largest 6 diffraction maxima, by intensity, 2θ from 5° to 70°:
- d 2.099, rel. 100.0
- d 2.842, rel. 93.6
- d 9.120, rel. 85.9
- d 2.332, rel. 81.4
- d 3.635, rel. 45.2
- d 3.377, rel. 36.6

Structural model:
a b c (Å): 10.0396 10.0396 10.0396
angles (deg): 42.45 42.45 42.45
Fractional positions:
Er: 0.1669 0.1669 0.1669
Er: 0.8331 0.8331 0.8331
Al: 0.0000 0.3340 0.6660
Al: 0.0518 0.0518 0.0518
Al: 0.1030 0.7629 0.4329
Al: 0.2371 0.8970 0.5671
Al: 0.2820 0.2820 0.2820
Al: 0.2905 0.5000 0.7095
Al: 0.3340 0.6660 0.0000
Al: 0.3869 0.3869 0.3869
Al: 0.4329 0.1030 0.7629
Al: 0.5000 0.7095 0.2905
Al: 0.5671 0.2371 0.8970
Al: 0.6131 0.6131 0.6131
Al: 0.6660 0.0000 0.3340
Al: 0.7095 0.2905 0.5000
Al: 0.7180 0.7180 0.7180
Al: 0.7629 0.4329 0.1030
Al: 0.8970 0.5671 0.2371
Al: 0.9482 0.9482 0.9482
Ni: 0.0784 0.4184 0.7585
Ni: 0.2415 0.5816 0.9216
Ni: 0.4184 0.7585 0.0784
Ni: 0.5816 0.9216 0.2415
Ni: 0.7585 0.0784 0.4184
Ni: 0.9216 0.2415 0.5816


Record 6
Diffraction record for Er3Al5Ni. The PXRD pattern is simulated, not measured: it uses a GGA-PBE-relaxed structure and Cu Ka.
Kinematic intensities with the Lorentz-polarization factor, no thermal factor.

Largest 6 diffraction maxima, by intensity, 2θ from 5° to 70°:
- d 2.686, rel. 100.0
- d 2.450, rel. 70.2
- d 4.275, rel. 52.7
- d 3.453, rel. 51.2
- d 1.546, rel. 35.0
- d 2.990, rel. 33.2

Structural model:
a b c (Å): 6.9058 6.9058 4.2750
angles (deg): 90.00 90.00 120.00
Fractional positions:
Er: 0.0000 0.5947 0.0000
Er: 0.4053 0.4053 0.0000
Er: 0.5947 0.0000 0.0000
Al: 0.0000 0.2303 0.5000
Al: 0.2303 0.0000 0.5000
Al: 0.3333 0.6667 0.5000
Al: 0.6667 0.3333 0.5000
Al: 0.7697 0.7697 0.5000
Ni: 0.0000 0.0000 0.0000


Record 7
Diffraction record for Er4Al4O11. The PXRD pattern is simulated, not measured: it uses a GGA-PBE-relaxed structure and Cu Ka.
Kinematic intensities with the Lorentz-polarization factor, no thermal factor.

Largest 6 diffraction maxima, by intensity, 2θ from 5° to 70°:
- d 2.597, rel. 100.0
- d 3.699, rel. 61.5
- d 1.487, rel. 32.6
- d 3.646, rel. 31.7
- d 2.098, rel. 25.7
- d 2.565, rel. 24.4

Structural model:
a b c (Å): 5.1302 7.2921 5.3380
angles (deg): 90.00 90.14 90.00
Fractional positions:
Er: 0.0000 0.0000 0.0000
Er: 0.0255 0.5000 0.8752
Er: 0.4991 0.5000 0.3772
Er: 0.5251 0.0000 0.4944
Al: 0.0130 0.2447 0.4377
Al: 0.0130 0.7553 0.4377
Al: 0.5129 0.2493 0.9362
Al: 0.5129 0.7507 0.9362
O: 0.2147 0.2953 0.1398
O: 0.2147 0.7047 0.1398
O: 0.3117 0.2957 0.6386
O: 0.3117 0.7043 0.6386
O: 0.4210 0.0000 0.9115
O: 0.6029 0.5000 0.9619
O: 0.7141 0.2021 0.2331
O: 0.7141 0.7979 0.2331
O: 0.8109 0.2030 0.7346
O: 0.8109 0.7970 0.7346
O: 0.9225 0.5000 0.4612


Record 8
Diffraction record for ErAl3Pd2. The PXRD pattern is simulated, not measured: it uses a GGA-PBE-relaxed structure and Cu Ka.
Kinematic intensities with the Lorentz-polarization factor, no thermal factor.

Largest 6 diffraction maxima, by intensity, 2θ from 5° to 70°:
- d 2.263, rel. 100.0
- d 2.680, rel. 54.2
- d 3.993, rel. 53.9
- d 2.321, rel. 28.4
- d 2.111, rel. 27.3
- d 1.658, rel. 25.6

Structural model:
a b c (Å): 14.1808 14.1808 4.2221
angles (deg): 90.00 90.00 120.00
Fractional positions:
Er: 0.0000 0.0000 0.0000
Er: 0.1441 0.7120 0.5000
Er: 0.2880 0.4321 0.5000
Er: 0.4321 0.1441 0.5000
Er: 0.5679 0.8559 0.5000
Er: 0.7120 0.5679 0.5000
Er: 0.8559 0.2880 0.5000
Al: 0.0000 0.5000 0.0000
Al: 0.0436 0.2180 0.5000
Al: 0.0721 0.3549 0.0000
Al: 0.1745 0.9564 0.5000
Al: 0.2123 0.5734 0.0000
Al: 0.2180 0.1745 0.5000
Al: 0.2828 0.9279 0.0000
Al: 0.3549 0.2828 0.0000
Al: 0.3611 0.7877 0.0000
Al: 0.4266 0.6389 0.0000
Al: 0.5000 0.0000 0.0000
Al: 0.5000 0.5000 0.0000
Al: 0.5734 0.3611 0.0000
Al: 0.6389 0.2123 0.0000
Al: 0.6451 0.7172 0.0000
Al: 0.7172 0.0721 0.0000
Al: 0.7820 0.8255 0.5000
Al: 0.7877 0.4266 0.0000
Al: 0.8255 0.0436 0.5000
Al: 0.9279 0.6451 0.0000
Al: 0.9564 0.7820 0.5000
Pd: 0.0783 0.8424 0.0000
Pd: 0.0948 0.4738 0.5000
Pd: 0.1576 0.2359 0.0000
Pd: 0.2359 0.0783 0.0000
Pd: 0.3333 0.6667 0.5000
Pd: 0.3790 0.9052 0.5000
Pd: 0.4738 0.3790 0.5000
Pd: 0.5262 0.6210 0.5000
Pd: 0.6210 0.0948 0.5000
Pd: 0.6667 0.3333 0.5000
Pd: 0.7641 0.9217 0.0000
Pd: 0.8424 0.7641 0.0000
Pd: 0.9052 0.5262 0.5000
Pd: 0.9217 0.1576 0.0000


Record 9
Diffraction record for ErAlPdPt. The PXRD pattern is simulated, not measured: it uses a GGA-PBE-relaxed structure and Cu Ka.
Kinematic intensities with the Lorentz-polarization factor, no thermal factor.

Largest 6 diffraction maxima, by intensity, 2θ from 5° to 70°:
- d 2.361, rel. 100.0
- d 2.168, rel. 57.9
- d 3.755, rel. 49.1
- d 1.597, rel. 30.1
- d 1.407, rel. 8.6
- d 1.877, rel. 7.4

Structural model:
a b c (Å): 4.3358 4.3358 9.1060
angles (deg): 90.00 90.00 120.00
Fractional positions:
Er: 0.0000 0.0000 0.0000
Er: 0.3333 0.6667 0.5000
Al: 0.6667 0.3333 0.2441
Al: 0.6667 0.3333 0.7559
Pd: 0.0000 0.0000 0.3356
Pd: 0.0000 0.0000 0.6644
Pt: 0.3333 0.6667 0.1713
Pt: 0.3333 0.6667 0.8287


Record 10
Diffraction record for Er2Al2Pd3Pt. The PXRD pattern is simulated, not measured: it uses a GGA-PBE-relaxed structure and Cu Ka.
Kinematic intensities with the Lorentz-polarization factor, no thermal factor.

Largest 6 diffraction maxima, by intensity, 2θ from 5° to 70°:
- d 2.360, rel. 100.0
- d 2.176, rel. 59.4
- d 3.769, rel. 45.3
- d 1.600, rel. 30.1
- d 1.405, rel. 8.4
- d 1.885, rel. 6.7

Structural model:
a b c (Å): 4.3526 4.3526 9.0827
angles (deg): 90.00 90.00 120.00
Fractional positions:
Er: 0.0000 0.0000 0.0000
Er: 0.3333 0.6667 0.4956
Al: 0.6667 0.3333 0.2412
Al: 0.6667 0.3333 0.7457
Pd: 0.0000 0.0000 0.3334
Pd: 0.0000 0.0000 0.6653
Pd: 0.3333 0.6667 0.8271
Pt: 0.3333 0.6667 0.1659


Record 11
Diffraction record for ErTmAl2Pd4. The PXRD pattern is simulated, not measured: it uses a GGA-PBE-relaxed structure and Cu Ka.
Kinematic intensities with the Lorentz-polarization factor, no thermal factor.

Largest 6 diffraction maxima, by intensity, 2θ from 5° to 70°:
- d 2.350, rel. 100.0
- d 2.174, rel. 60.8
- d 3.766, rel. 43.2
- d 1.596, rel. 29.9
- d 1.397, rel. 8.2
- d 3.475, rel. 6.8

Structural model:
a b c (Å): 4.3480 4.3480 9.0228
angles (deg): 90.00 90.00 120.00
Fractional positions:
Er: 0.0000 0.0000 0.0000
Tm: 0.6667 0.3333 0.5000
Al: 0.3333 0.6667 0.2504
Al: 0.3333 0.6667 0.7496
Pd: 0.0000 0.0000 0.3325
Pd: 0.0000 0.0000 0.6675
Pd: 0.6667 0.3333 0.1691
Pd: 0.6667 0.3333 0.8309


Record 12
Diffraction record for ErTm2Al3Si2Pt. The PXRD pattern is simulated, not measured: it uses a GGA-PBE-relaxed structure and Cu Ka.
Kinematic intensities with the Lorentz-polarization factor, no thermal factor.

Largest 6 diffraction maxima, by intensity, 2θ from 5° to 70°:
- d 2.421, rel. 100.0
- d 4.195, rel. 60.4
- d 2.964, rel. 56.9
- d 2.652, rel. 49.8
- d 1.976, rel. 36.3
- d 1.531, rel. 35.9

Structural model:
a b c (Å): 4.1949 6.8447 6.8447
angles (deg): 120.02 90.00 90.00
Fractional positions:
Er: 0.0000 0.0000 0.0000
Tm: 0.0000 0.1649 0.5824
Tm: 0.0000 0.5824 0.1649
Al: 0.5000 0.3439 0.3439
Al: 0.5000 0.5820 0.8206
Al: 0.5000 0.8206 0.5820
Si: 0.5000 0.2496 0.9153
Si: 0.5000 0.9153 0.2496
Pt: 0.0000 0.5811 0.5811